Simulated X-ray diffraction stick pattern
Compound: RbTlFeF4
Radiation: a wavelength of 1.5418 Å
Structure: a cell relaxed with PBE+U
No peak broadening, texture or thermal motion is included.

```
RbTlFeF4
1.0
6.3529 0.0000 0.0000
0.0000 6.5638 0.0000
-3.0073 0.0000 7.3054
Rb Tl Fe F
2 2 2 8
Cartesian
0.8268 1.6409 0.0266
2.5189 4.9228 7.2788
0.1095 1.6409 4.0557
3.2362 4.9228 3.2496
-0.6323 4.9228 5.7682
3.9779 1.6409 1.5372
-1.9419 3.4629 5.2927
-1.9419 6.3828 5.2927
2.2197 4.9228 0.4044
1.0556 4.9228 4.8458
2.2900 1.6409 2.4596
1.1260 1.6409 6.9010
5.2876 0.1810 2.0127
5.2876 3.1009 2.0127
```

Top 10 peaks for 10 to 80 degrees two-theta, in order of rising 2θ:
| (hkl) | two_theta | d_spacing | I_rel |
| --- | --- | --- | --- |
| 1 1 0 | 20.29 | 4.377 | 97 |
| 1 1 -1 | 20.48 | 4.336 | 61 |
| 1 0 1 | 22.75 | 3.909 | 51 |
| 1 1 1 | 26.54 | 3.358 | 34 |
| 1 1 -2 | 26.99 | 3.303 | 100 |
| 0 2 0 | 27.17 | 3.282 | 90 |
| 1 1 2 | 36.22 | 2.480 | 46 |
| 0 2 2 | 36.82 | 2.441 | 37 |
| 0 1 3 | 39.48 | 2.283 | 53 |
| 2 2 0 | 41.25 | 2.189 | 33 |